No. 1
Diffraction record for Th2Fe7. The XRD peak list is calculated, not measured: it uses the GGA-PBE geometry in OQMD and λ = 1.5418 Å (Cu Kα).

Cell lengths 5.1111, 5.1111, 24.6099 Å; angles 90.00, 90.00, 120.00 degrees
Element x y z (fractional)
Th 0.3333 0.6667 0.0277
Th 0.3333 0.6667 0.1731
Th 0.3333 0.6667 0.3269
Th 0.3333 0.6667 0.4723
Th 0.6667 0.3333 0.5277
Th 0.6667 0.3333 0.6731
Th 0.6667 0.3333 0.8269
Th 0.6667 0.3333 0.9723
Fe 0.0000 0.0000 0.0000
Fe 0.0000 0.0000 0.1681
Fe 0.0000 0.0000 0.3319
Fe 0.0000 0.0000 0.5000
Fe 0.0000 0.0000 0.6681
Fe 0.0000 0.0000 0.8319
Fe 0.1662 0.3324 0.5860
Fe 0.1662 0.3324 0.9140
Fe 0.1662 0.8338 0.5860
Fe 0.1662 0.8338 0.9140
Fe 0.1667 0.3335 0.7500
Fe 0.1667 0.8333 0.7500
Fe 0.3324 0.1662 0.0860
Fe 0.3324 0.1662 0.4140
Fe 0.3335 0.1667 0.2500
Fe 0.3333 0.6667 0.6675
Fe 0.3333 0.6667 0.8325
Fe 0.6667 0.3333 0.1675
Fe 0.6667 0.3333 0.3325
Fe 0.6665 0.8333 0.7500
Fe 0.6676 0.8338 0.5860
Fe 0.6676 0.8338 0.9140
Fe 0.8333 0.1667 0.2500
Fe 0.8333 0.6665 0.2500
Fe 0.8338 0.1662 0.0860
Fe 0.8338 0.1662 0.4140
Fe 0.8338 0.6676 0.0860
Fe 0.8338 0.6676 0.4140

Main lines, by angle (15° ≤ 2θ ≤ 90°):
- 2θ 20.39, d = 4.356 Å, I = 21
- 2θ 32.52, d = 2.753 Å, I = 89
- 2θ 35.12, d = 2.556 Å, I = 64
- 2θ 40.94, d = 2.204 Å, I = 33
- 2θ 41.64, d = 2.169 Å, I = 100
- 2θ 61.37, d = 1.511 Å, I = 30
- 2θ 67.46, d = 1.388 Å, I = 23
- 2θ 74.22, d = 1.278 Å, I = 20

No. 2
Diffraction record for TlAg3IrS4. The XRD peak list is calculated, not measured: it uses the GGA-PBE geometry in OQMD and λ = 1.5418 Å (Cu Kα).

Cell lengths 6.1851, 6.1851, 6.1851 Å; angles 90.00, 90.00, 90.00 degrees
Element x y z (fractional)
Tl 0.0000 0.0000 0.0000
Ag 0.0000 0.5000 0.5000
Ag 0.5000 0.0000 0.5000
Ag 0.5000 0.5000 0.0000
Ir 0.5000 0.5000 0.5000
S 0.2831 0.2831 0.2831
S 0.2831 0.7169 0.7169
S 0.7169 0.2831 0.7169
S 0.7169 0.7169 0.2831

Main lines, by angle (15° ≤ 2θ ≤ 90°):
- 2θ 20.30, d = 4.374 Å, I = 69
- 2θ 24.93, d = 3.571 Å, I = 51
- 2θ 28.87, d = 3.093 Å, I = 68
- 2θ 35.55, d = 2.525 Å, I = 33
- 2θ 41.29, d = 2.187 Å, I = 100
- 2θ 48.84, d = 1.865 Å, I = 23
- 2θ 67.75, d = 1.383 Å, I = 28
- 2θ 75.27, d = 1.263 Å, I = 30

No. 3
Diffraction record for K2NaMoH6. The XRD peak list is calculated, not measured: it uses the GGA-PBE geometry in OQMD and λ = 1.5418 Å (Cu Kα).

Cell lengths 5.6759, 5.6759, 5.6604 Å; angles 117.72, 117.72, 62.36 degrees
Element x y z (fractional)
K 0.2484 0.2484 0.2518
K 0.7516 0.7516 0.7482
Na 0.0000 0.0000 0.5000
Mo 0.5000 0.5000 0.0000
H 0.2724 0.2724 0.7794
H 0.2750 0.7251 0.2298
H 0.2749 0.7250 0.7702
H 0.7251 0.2750 0.2298
H 0.7250 0.2749 0.7702
H 0.7276 0.7276 0.2206

Main lines, by angle (15° ≤ 2θ ≤ 90°):
- 2θ 18.63, d = 4.762 Å, I = 46
- 2θ 19.52, d = 4.548 Å, I = 15
- 2θ 30.47, d = 2.934 Å, I = 100
- 2θ 31.59, d = 2.832 Å, I = 90
- 2θ 44.47, d = 2.037 Å, I = 36
- 2θ 54.10, d = 1.695 Å, I = 12
- 2θ 54.80, d = 1.675 Å, I = 23
- 2θ 56.96, d = 1.617 Å, I = 15

No. 4
Diffraction record for Pr3Ni2Sn3Ir. The XRD peak list is calculated, not measured: it uses the GGA-PBE geometry in OQMD and λ = 1.5418 Å (Cu Kα).

Cell lengths 7.4881, 7.4881, 4.1291 Å; angles 90.00, 90.00, 120.00 degrees
Element x y z (fractional)
Pr 0.0000 0.5856 0.0000
Pr 0.4144 0.4144 0.0000
Pr 0.5856 0.0000 0.0000
Ni 0.3333 0.6667 0.5000
Ni 0.6667 0.3333 0.5000
Sn 0.0000 0.2523 0.5000
Sn 0.2523 0.0000 0.5000
Sn 0.7477 0.7477 0.5000
Ir 0.0000 0.0000 0.0000

Main lines, by angle (15° ≤ 2θ ≤ 90°):
- 2θ 32.28, d = 2.774 Å, I = 79
- 2θ 35.19, d = 2.550 Å, I = 100
- 2θ 36.66, d = 2.451 Å, I = 40
- 2θ 41.79, d = 2.162 Å, I = 27
- 2θ 42.91, d = 2.108 Å, I = 29
- 2θ 43.85, d = 2.065 Å, I = 26
- 2θ 58.45, d = 1.579 Å, I = 21
- 2θ 66.84, d = 1.400 Å, I = 31

No. 5
Diffraction record for GdAgS2. The XRD peak list is calculated, not measured: it uses the GGA-PBE geometry in OQMD and λ = 1.5418 Å (Cu Kα).

Cell lengths 7.7083, 7.7046, 12.6678 Å; angles 90.00, 90.02, 90.00 degrees
Element x y z (fractional)
Gd 0.0014 0.0000 0.2467
Gd 0.2480 0.7499 0.5033
Gd 0.2517 0.2522 0.0032
Gd 0.4985 0.0022 0.7470
Gd 0.5015 0.5022 0.2530
Gd 0.7483 0.7522 0.9968
Gd 0.7520 0.2499 0.4967
Gd 0.9986 0.5000 0.7533
Ag 0.0007 0.4925 0.3193
Ag 0.2353 0.7463 0.0666
Ag 0.2700 0.2604 0.5659
Ag 0.4973 0.5124 0.8169
Ag 0.5027 0.0124 0.1831
Ag 0.7300 0.7604 0.4341
Ag 0.7647 0.2463 0.9334
Ag 0.9993 0.9925 0.6807
S 0.0216 0.9801 0.0272
S 0.0286 0.4708 0.5337
S 0.2211 0.7223 0.2834
S 0.2268 0.7735 0.7227
S 0.2727 0.2296 0.2226
S 0.2789 0.2804 0.7832
S 0.4716 0.5312 0.0335
S 0.4789 0.0219 0.5271
S 0.5211 0.5219 0.4729
S 0.5284 0.0312 0.9665
S 0.7211 0.7804 0.2168
S 0.7273 0.7296 0.7774
S 0.7732 0.2735 0.2773
S 0.7789 0.2223 0.7166
S 0.9714 0.9708 0.4663
S 0.9784 0.4801 0.9728

Main lines, by angle (15° ≤ 2θ ≤ 90°):
- 2θ 27.09, d = 3.292 Å, I = 88
- 2θ 28.18, d = 3.167 Å, I = 26
- 2θ 32.87, d = 2.725 Å, I = 100
- 2θ 39.21, d = 2.297 Å, I = 40
- 2θ 43.83, d = 2.065 Å, I = 28
- 2θ 47.17, d = 1.927 Å, I = 33
- 2θ 52.07, d = 1.756 Å, I = 34
- 2θ 55.24, d = 1.663 Å, I = 28

No. 6
Diffraction record for RbB4Pd. The XRD peak list is calculated, not measured: it uses the GGA-PBE geometry in OQMD and λ = 1.5418 Å (Cu Kα).

Cell lengths 3.1004, 3.1004, 8.5585 Å; angles 90.00, 90.00, 120.00 degrees
Element x y z (fractional)
Rb 0.0000 0.0000 0.0000
B 0.3333 0.6667 0.3037
B 0.3333 0.6667 0.6963
B 0.6667 0.3333 0.3037
B 0.6667 0.3333 0.6963
Pd 0.0000 0.0000 0.5000

Main lines, by angle (15° ≤ 2θ ≤ 90°):
- 2θ 20.76, d = 4.279 Å, I = 57
- 2θ 33.37, d = 2.685 Å, I = 60
- 2θ 39.63, d = 2.274 Å, I = 100
- 2θ 54.87, d = 1.673 Å, I = 33
- 2θ 59.64, d = 1.550 Å, I = 17
- 2θ 63.87, d = 1.458 Å, I = 17
- 2θ 74.00, d = 1.281 Å, I = 15
- 2θ 75.77, d = 1.255 Å, I = 14

No. 7
Diffraction record for Hf2ScTl. The XRD peak list is calculated, not measured: it uses the GGA-PBE geometry in OQMD and λ = 1.5418 Å (Cu Kα).

Cell lengths 7.0614, 7.0614, 7.0614 Å; angles 90.00, 90.00, 90.00 degrees
Element x y z (fractional)
Hf 0.0000 0.0000 0.0000
Hf 0.0000 0.5000 0.5000
Hf 0.2500 0.2500 0.2500
Hf 0.2500 0.7500 0.7500
Hf 0.5000 0.0000 0.5000
Hf 0.5000 0.5000 0.0000
Hf 0.7500 0.2500 0.7500
Hf 0.7500 0.7500 0.2500
Sc 0.2500 0.2500 0.7500
Sc 0.2500 0.7500 0.2500
Sc 0.7500 0.2500 0.2500
Sc 0.7500 0.7500 0.7500
Tl 0.0000 0.0000 0.5000
Tl 0.0000 0.5000 0.0000
Tl 0.5000 0.0000 0.0000
Tl 0.5000 0.5000 0.5000

Main lines, by angle (15° ≤ 2θ ≤ 90°):
- 2θ 21.80, d = 4.077 Å, I = 11
- 2θ 25.22, d = 3.531 Å, I = 8
- 2θ 35.97, d = 2.497 Å, I = 100
- 2θ 42.46, d = 2.129 Å, I = 6
- 2θ 51.79, d = 1.765 Å, I = 18
- 2θ 64.67, d = 1.441 Å, I = 36
- 2θ 76.28, d = 1.248 Å, I = 11
- 2θ 87.33, d = 1.117 Å, I = 17

No. 8
Diffraction record for Lu2Ni2BiAs. The XRD peak list is calculated, not measured: it uses the GGA-PBE geometry in OQMD and λ = 1.5418 Å (Cu Kα).

Cell lengths 10.7504, 4.3887, 10.7520 Å; angles 90.00, 109.46, 90.00 degrees
Element x y z (fractional)
Lu 0.0000 0.0000 0.0000
Lu 0.1182 0.5000 0.3736
Lu 0.2375 0.0000 0.7387
Lu 0.3750 0.5000 0.1385
Lu 0.5031 0.0000 0.4963
Lu 0.6281 0.5000 0.8641
Lu 0.7466 0.0000 0.2615
Lu 0.8669 0.5000 0.6188
Ni 0.1297 0.5000 0.1332
Ni 0.2396 0.0000 0.4872
Ni 0.3715 0.5000 0.8727
Ni 0.4986 0.0000 0.2573
Ni 0.6276 0.5000 0.6183
Ni 0.7483 0.0000 0.9897
Ni 0.8706 0.5000 0.3805
Ni 0.9854 0.0000 0.7390
Bi 0.1216 0.5000 0.8735
Bi 0.3716 0.5000 0.6201
Bi 0.4971 0.0000 0.9981
Bi 0.8699 0.5000 0.1244
As 0.2469 0.0000 0.2525
As 0.6235 0.5000 0.3777
As 0.7496 0.0000 0.7458
As 0.9938 0.0000 0.4982

Main lines, by angle (15° ≤ 2θ ≤ 90°):
- 2θ 24.84, d = 3.584 Å, I = 9
- 2θ 28.77, d = 3.104 Å, I = 56
- 2θ 41.13, d = 2.195 Å, I = 100
- 2θ 50.97, d = 1.792 Å, I = 16
- 2θ 59.58, d = 1.552 Å, I = 16
- 2θ 67.48, d = 1.388 Å, I = 21
- 2θ 74.95, d = 1.267 Å, I = 33
- 2θ 89.27, d = 1.097 Å, I = 11

No. 9
Diffraction record for Ba2SbAsAu2. The XRD peak list is calculated, not measured: it uses the GGA-PBE geometry in OQMD and λ = 1.5418 Å (Cu Kα).

Cell lengths 4.7375, 4.7375, 9.2988 Å; angles 90.00, 90.00, 120.00 degrees
Element x y z (fractional)
Ba 0.0000 0.0000 0.0000
Ba 0.0000 0.0000 0.4803
Sb 0.6667 0.3333 0.7388
As 0.3333 0.6667 0.2390
Au 0.3333 0.6667 0.7420
Au 0.6667 0.3333 0.2415

Main lines, by angle (15° ≤ 2θ ≤ 90°):
- 2θ 19.09, d = 4.649 Å, I = 16
- 2θ 23.70, d = 3.754 Å, I = 15
- 2θ 29.03, d = 3.076 Å, I = 100
- 2θ 37.99, d = 2.369 Å, I = 57
- 2θ 38.73, d = 2.325 Å, I = 18
- 2θ 48.50, d = 1.877 Å, I = 24
- 2θ 55.37, d = 1.659 Å, I = 38
- 2θ 63.21, d = 1.471 Å, I = 22

No. 10
Diffraction record for Hf4Cu2AsP. The XRD peak list is calculated, not measured: it uses the GGA-PBE geometry in OQMD and λ = 1.5418 Å (Cu Kα).

Cell lengths 5.2728, 3.6479, 7.5552 Å; angles 90.00, 110.36, 90.00 degrees
Element x y z (fractional)
Hf 0.0000 0.0000 0.0000
Hf 0.0512 0.5000 0.6345
Hf 0.4936 0.0000 0.4887
Hf 0.5563 0.5000 0.1477
Cu 0.1336 0.5000 0.2815
Cu 0.4010 0.0000 0.8588
As 0.6411 0.5000 0.7772
P 0.9093 0.0000 0.3583

Main lines, by angle (15° ≤ 2θ ≤ 90°):
- 2θ 30.46, d = 2.934 Å, I = 71
- 2θ 35.32, d = 2.541 Å, I = 99
- 2θ 35.44, d = 2.533 Å, I = 100
- 2θ 36.00, d = 2.495 Å, I = 48
- 2θ 36.36, d = 2.471 Å, I = 94
- 2θ 44.28, d = 2.046 Å, I = 69
- 2θ 48.15, d = 1.890 Å, I = 41
- 2θ 63.38, d = 1.467 Å, I = 38